For Na3HfInSiP2O12, the GGA-PBE geometry in the Materials Project gives the calculated XRD peak list in this record (CuKα).

Largest 12 diffraction maxima, sorted by position, 10 to 80 degrees two-theta:
2θ 13.75, d = 6.439 Å, rel. 18
2θ 19.31, d = 4.596 Å, rel. 53
2θ 19.49, d = 4.555 Å, rel. 100
2θ 27.71, d = 3.219 Å, rel. 28
2θ 30.68, d = 2.914 Å, rel. 25
2θ 30.89, d = 2.895 Å, rel. 26
2θ 31.05, d = 2.880 Å, rel. 25
2θ 33.87, d = 2.646 Å, rel. 12
2θ 34.08, d = 2.631 Å, rel. 55
2θ 44.52, d = 2.035 Å, rel. 14
2θ 53.18, d = 1.722 Å, rel. 17
2θ 53.29, d = 1.719 Å, rel. 13

Cell and atoms:
Unit cell a=9.1159 b=9.1159 c=9.1113 alpha=119.42 beta=119.42 gamma=59.89
Fractional positions:
1 Na 0.0801 0.9199 0.5000
2 Na 0.2407 0.4104 0.9648
3 Na 0.3412 0.7967 0.1979
4 Na 0.4104 0.2407 0.4648
5 Na 0.7967 0.3412 0.6979
6 Na 0.9199 0.0801 0.0000
7 Hf 0.4717 0.9595 0.6425
8 Hf 0.9595 0.4717 0.1425
9 In 0.1751 0.6680 0.7625
10 In 0.6680 0.1751 0.2625
11 Si 0.3634 0.5699 0.4472
12 Si 0.5699 0.3634 0.9472
13 P 0.0695 0.2709 0.4579
14 P 0.2709 0.0695 0.9579
15 P 0.7740 0.8626 0.4577
16 P 0.8626 0.7740 0.9577
17 O 0.0291 0.3103 0.2896
18 O 0.0354 0.7542 0.9456
19 O 0.0983 0.2423 0.9620
20 O 0.1074 0.4264 0.6277
21 O 0.1907 0.5259 0.2669
22 O 0.2270 0.9226 0.9494
23 O 0.2423 0.0983 0.4620
24 O 0.3103 0.0291 0.7896
25 O 0.3157 0.6160 0.6165
26 O 0.3770 0.7501 0.4604
27 O 0.3947 0.5454 0.9502
28 O 0.4264 0.1074 0.1277
29 O 0.5259 0.1907 0.7669
30 O 0.5454 0.3947 0.4502
31 O 0.5943 0.8853 0.4596
32 O 0.6160 0.3157 0.1165
33 O 0.6974 0.8185 0.7949
34 O 0.7501 0.3770 0.9604
35 O 0.7542 0.0354 0.4456
36 O 0.8185 0.6974 0.2949
37 O 0.8405 0.9283 0.1297
38 O 0.8853 0.5943 0.9596
39 O 0.9226 0.2270 0.4494
40 O 0.9283 0.8405 0.6297